Structure and computed PXRD pattern of AgMo8 (a cell relaxed with GGA-PBE; Cu Kα).

Principal peaks in the range 15° ≤ 2θ ≤ 90°, in order of rising 2θ:
two_theta  I (rel.)
26.31  1
39.91  50
40.09  100
56.09  1
57.72  16
58.26  8
72.60  32
72.96  16
86.10  5
86.56  11

Cell and atoms:
```
9
Lattice="-4.791 4.791 1.584 4.791 -4.791 1.584 4.791 4.791 -1.584" Properties=species:S:1:pos:R:3 pbc="T T T"
Ag 0.000 0.000 0.000
Mo 3.201 0.000 0.000
Mo 6.382 0.000 0.000
Mo 3.122 3.122 0.000
Mo 1.670 -1.670 1.584
Mo 0.000 3.201 0.000
Mo 0.000 6.382 0.000
Mo -1.670 1.670 1.584
Mo 1.670 1.670 1.584
```



Structure and computed PXRD pattern of CrNiIrW (a cell relaxed with GGA-PBE; Cu Kα).

Principal peaks in the range 15° ≤ 2θ ≤ 90°, in order of rising 2θ:
two_theta  I (rel.)
24.11  27
33.38  24
41.60  100
46.99  18
48.84  16
49.37  15
70.11  10
83.57  13
86.32  12
87.13  12

Cell and atoms:
```
4
Lattice="3.692 0.000 0.000 0.000 3.730 0.000 0.000 0.000 3.867" Properties=species:S:1:pos:R:3 pbc="T T T"
Cr 0.000 0.000 0.000
Ni 0.000 1.865 1.934
Ir 1.846 0.000 1.934
W 1.846 1.865 0.000
```



Structure and computed PXRD pattern of Tb8Nd2Mg (a cell relaxed with GGA-PBE; Cu Kα).

Principal peaks in the range 15° ≤ 2θ ≤ 90°, in order of rising 2θ:
two_theta  I (rel.)
25.32  19
31.16  34
32.01  14
32.31  33
32.43  100
41.49  10
49.42  14
57.38  12
57.70  19
60.28  15

Cell and atoms:
```
11
Lattice="-2.771 3.874 8.389 2.771 -3.874 8.389 2.771 3.874 -8.389" Properties=species:S:1:pos:R:3 pbc="T T T"
Tb 2.771 2.164 -2.260
Tb 0.000 0.000 2.911
Tb 0.000 2.086 0.000
Tb 2.771 2.164 2.260
Tb 0.000 1.709 6.128
Tb 0.000 5.661 0.000
Tb 0.000 0.000 13.866
Tb 0.000 1.709 10.649
Nd 2.771 0.000 5.104
Nd 0.000 3.874 3.285
Mg 2.771 0.000 0.000
```



Structure and computed PXRD pattern of AlCoB (a cell relaxed with GGA-PBE; Cu Kα).

Principal peaks in the range 15° ≤ 2θ ≤ 90°, in order of rising 2θ:
two_theta  I (rel.)
18.29  48
26.56  54
35.50  77
37.07  100
40.86  54
44.15  43
44.70  90
51.45  71
54.69  32
78.40  38

Cell and atoms:
```
6
Lattice="-1.365 3.356 3.508 1.365 -3.356 3.508 1.365 3.356 -3.508" Properties=species:S:1:pos:R:3 pbc="T T T"
Al 0.000 1.655 0.000
Al 0.000 5.058 0.000
Co 0.000 0.000 2.244
Co 0.000 0.000 4.772
B 1.365 0.000 0.838
B 0.000 3.356 2.670
```



Structure and computed PXRD pattern of TbPm12Nd6 (a cell relaxed with GGA-PBE; Cu Kα).

Principal peaks in the range 15° ≤ 2θ ≤ 90°, in order of rising 2θ:
two_theta  I (rel.)
24.70  37
26.60  100
26.98  57
30.75  69
32.45  94
32.95  77
33.33  52
37.81  35
45.77  33
54.86  43

Cell and atoms:
```
19
Lattice="8.278 4.779 2.842 -8.278 4.779 2.842 0.000 -9.559 2.842" Properties=species:S:1:pos:R:3 pbc="T T T"
Tb 0.000 0.000 0.000
Pm -5.297 -3.058 4.423
Pm -3.137 -5.434 4.263
Pm -6.275 0.000 4.263
Pm 0.000 -6.116 4.102
Pm -5.297 3.058 4.102
Pm 3.137 -5.434 4.263
Pm -3.137 5.434 4.263
Pm 5.297 -3.058 4.423
Pm 0.000 6.116 4.423
Pm 6.275 0.000 4.263
Pm 3.137 5.434 4.263
Pm 5.297 3.058 4.102
Nd 0.000 -2.435 3.017
Nd -2.108 1.217 3.017
Nd -2.108 -1.217 5.509
Nd 2.108 1.217 3.017
Nd 2.108 -1.217 5.509
Nd 0.000 2.435 5.509
```



Structure and computed PXRD pattern of CuAg2Pd6 (a cell relaxed with GGA-PBE; Cu Kα).

Principal peaks in the range 15° ≤ 2θ ≤ 90°, in order of rising 2θ:
two_theta  I (rel.)
24.96  1
32.68  1
39.33  100
44.93  17
46.13  31
66.36  20
67.29  10
79.08  12
80.82  23
84.61  10

Cell and atoms:
```
9
Lattice="0.000 5.903 6.052 1.968 0.000 6.052 1.968 5.903 0.000" Properties=species:S:1:pos:R:3 pbc="T T T"
Cu 0.000 0.000 0.000
Ag 1.968 3.980 6.052
Ag 1.968 7.826 6.052
Pd 1.968 3.958 2.029
Pd 1.968 7.848 2.029
Pd 1.968 5.903 4.045
Pd 1.968 5.903 8.059
Pd 1.968 3.958 10.075
Pd 1.968 7.848 10.075
```



Structure and computed PXRD pattern of FeRh5 (a cell relaxed with GGA-PBE; Cu Kα).

Principal peaks in the range 15° ≤ 2θ ≤ 90°, in order of rising 2θ:
two_theta  I (rel.)
40.98  100
47.46  32
48.13  16
69.24  5
69.90  20
83.75  12
83.94  12
84.85  12
88.74  5
88.99  5

Cell and atoms:
```
6
Lattice="2.714 0.000 0.000 0.000 3.781 0.000 0.000 0.000 8.115" Properties=species:S:1:pos:R:3 pbc="T T T"
Fe 0.000 0.000 0.000
Rh 0.000 0.000 2.677
Rh 0.000 0.000 5.437
Rh 1.357 1.891 1.309
Rh 1.357 1.891 4.057
Rh 1.357 1.891 6.806
```



Structure and computed PXRD pattern of PuHf2Zn9 (a cell relaxed with GGA-PBE; Cu Kα).

Principal peaks in the range 15° ≤ 2θ ≤ 90°, in order of rising 2θ:
two_theta  I (rel.)
16.61  16
32.41  29
33.55  41
36.63  100
39.57  25
40.94  94
42.68  19
56.42  14
62.03  20
64.65  18

Cell and atoms:
```
24
Lattice="8.735 0.000 0.000 0.000 8.735 0.000 0.000 0.000 5.338" Properties=species:S:1:pos:R:3 pbc="T T T"
Pu 0.000 0.000 0.000
Pu 4.367 4.367 0.000
Hf 1.070 3.298 0.000
Hf 3.298 7.665 0.000
Hf 5.437 1.070 0.000
Hf 7.665 5.437 0.000
Zn 0.000 4.367 2.669
Zn 0.580 1.784 2.669
Zn 1.523 5.891 1.248
Zn 1.523 5.891 4.090
Zn 1.784 8.155 2.669
Zn 2.584 3.788 2.669
Zn 2.844 1.523 1.248
Zn 2.844 1.523 4.090
Zn 3.788 6.151 2.669
Zn 4.367 0.000 2.669
Zn 4.947 2.584 2.669
Zn 5.891 7.211 1.248
Zn 5.891 7.211 4.090
Zn 6.151 4.947 2.669
Zn 6.951 0.580 2.669
Zn 7.211 2.844 1.248
Zn 7.211 2.844 4.090
Zn 8.155 6.951 2.669
```



Structure and computed PXRD pattern of Nd2Sm4Si3O2 (a cell relaxed with GGA-PBE; Cu Kα).

Principal peaks in the range 15° ≤ 2θ ≤ 90°, in order of rising 2θ:
two_theta  I (rel.)
21.98  55
28.09  95
29.39  30
30.90  23
35.13  100
38.69  68
44.93  25
49.32  29
53.08  26
67.73  30

Cell and atoms:
```
11
Lattice="-2.327 2.327 12.157 2.327 -2.327 12.157 2.327 2.327 -12.157" Properties=species:S:1:pos:R:3 pbc="T T T"
Nd 0.000 0.000 4.823
Nd 0.000 0.000 19.490
Sm 2.327 0.000 1.929
Sm 2.327 0.000 10.227
Sm 0.000 2.327 1.929
Sm 0.000 2.327 10.227
Si 0.000 0.000 7.930
Si 0.000 0.000 12.157
Si 0.000 0.000 16.383
O 0.000 0.000 2.377
O 0.000 0.000 21.937
```



Structure and computed PXRD pattern of NdBi3Ru4O14 (a cell relaxed with GGA-PBE; Cu Kα).

Principal peaks in the range 15° ≤ 2θ ≤ 90°, in order of rising 2θ:
two_theta  I (rel.)
29.64  33
29.78  100
34.48  47
49.47  31
49.65  30
58.73  15
58.92  44
61.85  11
80.63  12
83.15  10

Cell and atoms:
```
22
Lattice="3.672 2.120 6.028 -3.672 2.120 6.028 0.000 -4.240 6.028" Properties=species:S:1:pos:R:3 pbc="T T T"
Nd 0.000 0.000 0.000
Bi -3.672 0.000 9.042
Bi -1.836 1.060 3.014
Bi 1.836 1.060 3.014
Ru -1.836 -1.060 6.028
Ru -1.836 1.060 12.056
Ru 0.000 2.120 6.028
Ru 0.000 0.000 9.042
O 0.000 0.000 2.264
O 0.000 -1.713 5.525
O -1.484 0.857 5.525
O -1.487 -0.859 8.008
O 0.000 -1.717 10.076
O -1.487 0.859 10.076
O -1.484 -0.857 12.558
O 1.484 0.857 5.525
O 1.487 -0.859 8.008
O 0.000 1.717 8.008
O 1.487 0.859 10.076
O 1.484 -0.857 12.558
O 0.000 1.713 12.558
O 0.000 0.000 15.820
```



Structure and computed PXRD pattern of TePt3 (a cell relaxed with GGA-PBE; Cu Kα).

Principal peaks in the range 15° ≤ 2θ ≤ 90°, in order of rising 2θ:
two_theta  I (rel.)
23.47  4
33.44  100
41.26  2
48.01  73
54.11  1
59.77  26
65.12  1
70.25  12
80.07  33
89.60  26

Cell and atoms:
```
4
Lattice="-2.680 2.680 2.680 2.680 -2.680 2.680 2.680 2.680 -2.680" Properties=species:S:1:pos:R:3 pbc="T T T"
Te 0.000 0.000 0.000
Pt 2.680 0.000 0.000
Pt 0.000 2.680 0.000
Pt 0.000 0.000 2.680
```



Structure and computed PXRD pattern of Cs2Li2BiO4 (a cell relaxed with GGA-PBE; Cu Kα).

Principal peaks in the range 15° ≤ 2θ ≤ 90°, in order of rising 2θ:
two_theta  I (rel.)
22.81  70
25.54  100
26.42  51
27.21  43
27.90  65
32.89  57
35.86  98
38.46  57
42.92  32
58.41  34

Cell and atoms:
```
9
Lattice="6.474 -1.819 0.000 6.474 1.819 0.000 -2.212 0.000 6.554" Properties=species:S:1:pos:R:3 pbc="T T T"
Cs 1.690 0.000 0.495
Cs 9.046 0.000 6.058
Li 3.013 0.000 3.327
Li 7.723 0.000 3.226
Bi -1.106 0.000 3.277
O 1.055 0.000 4.033
O 4.669 0.000 4.572
O 6.067 0.000 1.982
O 9.681 0.000 2.520
```



Question: Which formula does entry 5 have?
Answer: TbPm12Nd6